1.
# AlIn3Au12
Computed X-ray powder pattern, Cu Kα (weighted mean of Kα1 and Kα2). Input: a DFT-relaxed cell (GGA-PBE, Alexandria).
Lines closer than 0.1° are merged.

Atomic structure:
```
AlIn3Au12
1.0
4.232 0.000 0.000
0.000 4.232 0.000
0.000 0.000 16.563
Al In Au
1 3 12
direct
0.000 0.000 0.000 Al
0.000 0.000 0.245 In
0.000 0.000 0.500 In
0.000 0.000 0.755 In
0.000 0.500 0.116 Au
0.000 0.500 0.372 Au
0.000 0.500 0.628 Au
0.000 0.500 0.884 Au
0.500 0.000 0.116 Au
0.500 0.000 0.372 Au
0.500 0.000 0.628 Au
0.500 0.000 0.884 Au
0.500 0.500 0.000 Au
0.500 0.500 0.244 Au
0.500 0.500 0.500 Au
0.500 0.500 0.756 Au
```

Most intense lines, 2θ from 5° to 70°, by angle:
- 2θ 21.0, d = 4.232 Å, I = 5
- 2θ 21.5, d = 4.141 Å, I = 2
- 2θ 30.2, d = 2.960 Å, I = 4
- 2θ 37.1, d = 2.426 Å, I = 100
- 2θ 42.7, d = 2.116 Å, I = 34
- 2θ 43.7, d = 2.070 Å, I = 15
- 2θ 62.0, d = 1.496 Å, I = 11
- 2θ 62.8, d = 1.480 Å, I = 21

=====

2.
# AlInAu3
Computed X-ray powder pattern, Cu Kα (weighted mean of Kα1 and Kα2). Input: a DFT-relaxed cell (GGA-PBE, Alexandria).
Lines closer than 0.1° are merged.

Atomic structure:
```
AlInAu3
1.0
4.364 0.000 0.000
-0.041 5.559 0.000
-0.009 -0.549 8.056
Al In Au
2 2 6
direct
0.250 0.173 0.410 Al
0.750 0.827 0.590 Al
0.248 0.528 0.840 In
0.752 0.472 0.160 In
0.249 0.651 0.420 Au
0.250 0.155 0.079 Au
0.252 0.035 0.718 Au
0.748 0.965 0.282 Au
0.750 0.845 0.921 Au
0.751 0.349 0.580 Au
```

Most intense lines, 2θ from 5° to 70°, by angle:
- 2θ 27.8, d = 3.213 Å, I = 36
- 2θ 27.9, d = 3.196 Å, I = 35
- 2θ 28.3, d = 3.159 Å, I = 53
- 2θ 33.5, d = 2.672 Å, I = 31
- 2θ 38.3, d = 2.348 Å, I = 38
- 2θ 38.6, d = 2.333 Å, I = 38
- 2θ 39.4, d = 2.288 Å, I = 100
- 2θ 41.4, d = 2.182 Å, I = 62

=====

3.
# Al2In2Au7
Computed X-ray powder pattern, Cu Kα (weighted mean of Kα1 and Kα2). Input: a DFT-relaxed cell (GGA-PBE, Alexandria).
Lines closer than 0.1° are merged.

Atomic structure:
```
Al2In2Au7
1.0
2.877 -4.942 0.000
2.877 4.942 0.000
-0.493 0.000 7.408
Al In Au
2 2 7
direct
0.229 0.771 0.000 Al
0.771 0.229 0.000 Al
0.389 0.389 0.303 In
0.611 0.611 0.697 In
0.000 0.000 0.500 Au
0.033 0.472 0.689 Au
0.231 0.231 0.937 Au
0.472 0.033 0.689 Au
0.528 0.967 0.311 Au
0.769 0.769 0.063 Au
0.967 0.528 0.311 Au
```

Most intense lines, 2θ from 5° to 70°, by angle:
- 2θ 30.2, d = 2.964 Å, I = 65
- 2θ 30.9, d = 2.890 Å, I = 44
- 2θ 31.2, d = 2.870 Å, I = 39
- 2θ 36.4, d = 2.470 Å, I = 100
- 2θ 37.6, d = 2.395 Å, I = 85
- 2θ 39.8, d = 2.263 Å, I = 27
- 2θ 40.5, d = 2.227 Å, I = 52
- 2θ 47.9, d = 1.900 Å, I = 29

=====

4.
# AlInAu6
Computed X-ray powder pattern, Cu Kα (weighted mean of Kα1 and Kα2). Input: a DFT-relaxed cell (GGA-PBE, Alexandria).
Lines closer than 0.1° are merged.

Atomic structure:
```
AlInAu6
1.0
4.172 0.000 0.000
0.000 4.172 0.000
0.000 0.000 8.336
Al In Au
1 1 6
direct
0.000 0.000 0.000 Al
0.000 0.000 0.500 In
0.000 0.500 0.237 Au
0.000 0.500 0.763 Au
0.500 0.000 0.237 Au
0.500 0.000 0.763 Au
0.500 0.500 0.000 Au
0.500 0.500 0.500 Au
```

Most intense lines, 2θ from 5° to 70°, by angle:
- 2θ 21.3, d = 4.170 Å, I = 10
- 2θ 30.3, d = 2.949 Å, I = 9
- 2θ 32.2, d = 2.780 Å, I = 4
- 2θ 37.3, d = 2.408 Å, I = 100
- 2θ 43.4, d = 2.085 Å, I = 49
- 2θ 48.8, d = 1.865 Å, I = 5
- 2θ 53.8, d = 1.703 Å, I = 4
- 2θ 63.0, d = 1.474 Å, I = 32

=====

5.
# AlIn2Au5
Computed X-ray powder pattern, Cu Kα (weighted mean of Kα1 and Kα2). Input: a DFT-relaxed cell (GGA-PBE, Alexandria).
Lines closer than 0.1° are merged.

Atomic structure:
```
AlIn2Au5
1.0
5.530 0.000 0.000
-1.600 5.301 0.000
-1.451 -1.951 5.539
Al In Au
1 2 5
direct
0.000 0.000 0.000 Al
0.545 0.971 0.494 In
0.970 0.547 0.495 In
0.088 0.559 0.000 Au
0.116 0.118 0.644 Au
0.381 0.382 0.368 Au
0.562 0.095 0.001 Au
0.633 0.637 0.065 Au
```

Most intense lines, 2θ from 5° to 70°, by angle:
- 2θ 27.7, d = 3.217 Å, I = 55
- 2θ 31.3, d = 2.858 Å, I = 28
- 2θ 32.3, d = 2.770 Å, I = 41
- 2θ 35.9, d = 2.498 Å, I = 58
- 2θ 39.8, d = 2.267 Å, I = 100
- 2θ 40.1, d = 2.247 Å, I = 59
- 2θ 40.6, d = 2.221 Å, I = 52
- 2θ 42.4, d = 2.133 Å, I = 29

=====

6.
# Al2InPd3Au3
Computed X-ray powder pattern, Cu Kα (weighted mean of Kα1 and Kα2). Input: a DFT-relaxed cell (GGA-PBE, Alexandria).
Lines closer than 0.1° are merged.

Atomic structure:
```
Al2InPd3Au3
1.0
7.397 0.000 0.000
-3.698 6.406 0.000
0.000 0.000 3.204
Al In Pd Au
2 1 3 3
direct
0.333 0.667 0.000 Al
0.667 0.333 0.000 Al
0.000 0.000 0.500 In
0.000 0.377 0.500 Pd
0.377 0.000 0.500 Pd
0.623 0.623 0.500 Pd
0.000 0.691 0.000 Au
0.309 0.309 0.000 Au
0.691 0.000 0.000 Au
```

Most intense lines, 2θ from 5° to 70°, by angle:
- 2θ 13.8, d = 6.406 Å, I = 7
- 2θ 24.1, d = 3.698 Å, I = 28
- 2θ 37.1, d = 2.422 Å, I = 100
- 2θ 39.8, d = 2.265 Å, I = 15
- 2θ 42.3, d = 2.135 Å, I = 48
- 2θ 51.4, d = 1.777 Å, I = 8
- 2θ 57.5, d = 1.602 Å, I = 30
- 2θ 63.3, d = 1.470 Å, I = 6

=====

7.
# AlInTe4Au2
Computed X-ray powder pattern, Cu Kα (weighted mean of Kα1 and Kα2). Input: a DFT-relaxed cell (GGA-PBE, Alexandria).
Lines closer than 0.1° are merged.

Atomic structure:
```
AlInTe4Au2
1.0
-3.206 3.206 6.344
3.206 -3.206 6.344
3.206 3.206 -6.344
Al In Te Au
1 1 4 2
direct
0.000 0.000 0.000 Al
0.250 0.750 0.500 In
0.118 0.131 0.487 Te
0.369 0.882 0.014 Te
0.644 0.631 0.513 Te
0.869 0.356 0.986 Te
0.500 0.500 0.000 Au
0.750 0.250 0.500 Au
```

Most intense lines, 2θ from 5° to 70°, by angle:
- 2θ 15.5, d = 5.722 Å, I = 16
- 2θ 24.1, d = 3.688 Å, I = 100
- 2θ 39.8, d = 2.267 Å, I = 27
- 2θ 40.0, d = 2.255 Å, I = 53
- 2θ 47.1, d = 1.931 Å, I = 33
- 2θ 47.4, d = 1.916 Å, I = 16
- 2θ 57.5, d = 1.603 Å, I = 9
- 2θ 63.6, d = 1.463 Å, I = 13

=====

8.
# ThAl2InAu5
Computed X-ray powder pattern, Cu Kα (weighted mean of Kα1 and Kα2). Input: a DFT-relaxed cell (GGA-PBE, Alexandria).
Lines closer than 0.1° are merged.

Atomic structure:
```
ThAl2InAu5
1.0
4.517 0.000 0.000
0.000 4.517 0.000
0.000 0.000 8.838
Th Al In Au
1 2 1 5
direct
0.000 0.000 0.000 Th
0.500 0.500 0.143 Al
0.500 0.500 0.857 Al
0.000 0.000 0.500 In
0.000 0.500 0.276 Au
0.000 0.500 0.724 Au
0.500 0.000 0.276 Au
0.500 0.000 0.724 Au
0.500 0.500 0.500 Au
```

Most intense lines, 2θ from 5° to 70°, by angle:
- 2θ 22.1, d = 4.022 Å, I = 13
- 2θ 34.7, d = 2.589 Å, I = 100
- 2θ 39.9, d = 2.258 Å, I = 40
- 2θ 40.8, d = 2.209 Å, I = 12
- 2θ 41.7, d = 2.165 Å, I = 10
- 2θ 57.7, d = 1.597 Å, I = 14
- 2θ 58.4, d = 1.579 Å, I = 17
- 2θ 69.1, d = 1.359 Å, I = 28

=====

9.
# K3AlAu4
Computed X-ray powder pattern, Cu Kα (weighted mean of Kα1 and Kα2). Input: a DFT-relaxed cell (GGA-PBE, Alexandria).
Lines closer than 0.1° are merged.

Atomic structure:
```
K3AlAu4
1.0
11.248 0.000 0.000
0.000 12.797 0.000
0.000 0.000 6.601
K Al Au
12 4 16
direct
0.112 0.250 0.178 K
0.156 0.000 0.596 K
0.156 0.500 0.596 K
0.344 0.000 0.096 K
0.344 0.500 0.096 K
0.388 0.750 0.678 K
0.612 0.250 0.322 K
0.656 0.000 0.904 K
0.656 0.500 0.904 K
0.844 0.000 0.404 K
0.844 0.500 0.404 K
0.888 0.750 0.822 K
0.174 0.750 0.171 Al
0.326 0.250 0.671 Al
0.674 0.750 0.329 Al
0.826 0.250 0.829 Al
0.061 0.584 0.080 Au
0.061 0.916 0.080 Au
0.100 0.250 0.688 Au
0.116 0.750 0.542 Au
0.384 0.250 0.042 Au
0.400 0.750 0.188 Au
0.439 0.084 0.580 Au
0.439 0.416 0.580 Au
0.561 0.584 0.420 Au
0.561 0.916 0.420 Au
0.600 0.250 0.812 Au
0.616 0.750 0.958 Au
0.884 0.250 0.458 Au
0.900 0.750 0.312 Au
0.939 0.084 0.920 Au
0.939 0.416 0.920 Au
```

Most intense lines, 2θ from 5° to 70°, by angle:
- 2θ 15.1, d = 5.867 Å, I = 52
- 2θ 15.8, d = 5.624 Å, I = 54
- 2θ 20.9, d = 4.253 Å, I = 100
- 2θ 28.2, d = 3.167 Å, I = 41
- 2θ 32.1, d = 2.789 Å, I = 60
- 2θ 32.2, d = 2.779 Å, I = 59
- 2θ 34.6, d = 2.590 Å, I = 57
- 2θ 36.3, d = 2.477 Å, I = 44

=====

10.
# La4AlAu
Computed X-ray powder pattern, Cu Kα (weighted mean of Kα1 and Kα2). Input: a DFT-relaxed cell (GGA-PBE, Alexandria).
Lines closer than 0.1° are merged.

Atomic structure:
```
La4AlAu
1.0
5.534 0.000 0.000
0.000 7.209 0.000
-1.199 0.000 9.098
La Al Au
8 2 2
direct
0.187 0.250 0.063 La
0.214 0.750 0.384 La
0.310 0.520 0.716 La
0.310 0.980 0.716 La
0.690 0.020 0.284 La
0.690 0.480 0.284 La
0.786 0.250 0.616 La
0.813 0.750 0.937 La
0.234 0.250 0.417 Al
0.766 0.750 0.583 Al
0.332 0.750 0.058 Au
0.668 0.250 0.942 Au
```

Most intense lines, 2θ from 5° to 70°, by angle:
- 2θ 9.7, d = 9.098 Å, I = 35
- 2θ 20.3, d = 4.366 Å, I = 31
- 2θ 30.6, d = 2.923 Å, I = 47
- 2θ 31.7, d = 2.825 Å, I = 85
- 2θ 31.8, d = 2.814 Å, I = 47
- 2θ 32.0, d = 2.800 Å, I = 100
- 2θ 32.6, d = 2.743 Å, I = 44
- 2θ 35.6, d = 2.519 Å, I = 54

=====

11.
# LaAl12Au4
Computed X-ray powder pattern, Cu Kα (weighted mean of Kα1 and Kα2). Input: a DFT-relaxed cell (GGA-PBE, Alexandria).
Lines closer than 0.1° are merged.

Atomic structure:
```
LaAl12Au4
1.0
-4.472 4.472 4.472
4.472 -4.472 4.472
4.472 4.472 -4.472
La Al Au
1 12 4
direct
0.000 0.000 0.000 La
0.154 0.351 0.505 Al
0.154 0.649 0.803 Al
0.197 0.846 0.351 Al
0.351 0.197 0.846 Al
0.351 0.505 0.154 Al
0.495 0.846 0.649 Al
0.505 0.154 0.351 Al
0.649 0.495 0.846 Al
0.649 0.803 0.154 Al
0.803 0.154 0.649 Al
0.846 0.351 0.197 Al
0.846 0.649 0.495 Al
0.000 0.000 0.500 Au
0.000 0.500 0.000 Au
0.500 0.000 0.000 Au
0.500 0.500 0.500 Au
```

Most intense lines, 2θ from 5° to 70°, by angle:
- 2θ 19.9, d = 4.472 Å, I = 57
- 2θ 28.2, d = 3.162 Å, I = 100
- 2θ 31.6, d = 2.828 Å, I = 13
- 2θ 34.7, d = 2.582 Å, I = 20
- 2θ 40.3, d = 2.236 Å, I = 20
- 2θ 45.3, d = 2.000 Å, I = 42
- 2θ 50.0, d = 1.826 Å, I = 56
- 2θ 66.1, d = 1.414 Å, I = 22

=====

12.
# La2Al12Au7
Computed X-ray powder pattern, Cu Kα (weighted mean of Kα1 and Kα2). Input: a DFT-relaxed cell (GGA-PBE, Alexandria).
Lines closer than 0.1° are merged.

Atomic structure:
```
La2Al12Au7
1.0
10.524 0.000 0.000
-5.262 9.114 0.000
0.000 0.000 4.192
La Al Au
2 12 7
direct
0.333 0.667 0.261 La
0.667 0.333 0.739 La
0.055 0.434 0.747 Al
0.120 0.267 0.260 Al
0.147 0.880 0.260 Al
0.267 0.147 0.740 Al
0.379 0.945 0.747 Al
0.434 0.379 0.253 Al
0.566 0.621 0.747 Al
0.621 0.055 0.253 Al
0.733 0.853 0.260 Al
0.853 0.120 0.740 Al
0.880 0.733 0.740 Al
0.945 0.566 0.253 Al
0.000 0.000 0.500 Au
0.113 0.706 0.763 Au
0.294 0.407 0.763 Au
0.407 0.113 0.237 Au
0.593 0.887 0.763 Au
0.706 0.593 0.237 Au
0.887 0.294 0.237 Au
```

Most intense lines, 2θ from 5° to 70°, by angle:
- 2θ 25.9, d = 3.445 Å, I = 100
- 2θ 27.2, d = 3.279 Å, I = 63
- 2θ 28.9, d = 3.085 Å, I = 66
- 2θ 33.7, d = 2.662 Å, I = 72
- 2θ 41.7, d = 2.165 Å, I = 33
- 2θ 45.6, d = 1.989 Å, I = 47
- 2θ 48.7, d = 1.871 Å, I = 43
- 2θ 51.0, d = 1.791 Å, I = 24